1.
# Ac2Co5Si4
Calculated powder diffraction line list, Cu Kα X-rays. Input: a crystal structure in Alexandria, relaxed with GGA-PBE.
Lines closer than 0.1° are merged.

Atomic structure:
```
Ac2Co5Si4
1.0
0.0000 4.9399 6.6382
2.7475 0.0000 6.6382
2.7475 4.9399 0.0000
Ac Co Si
2 5 4
Cartesian
2.7475 4.9399 1.8132
2.7475 4.9399 11.4631
1.3738 2.4700 0.0000
1.3738 2.4700 3.3191
1.3738 2.4700 6.6382
2.7475 4.9399 6.6382
4.1213 7.4099 9.9572
2.7475 3.3057 4.9614
2.7475 3.3057 8.3149
2.7475 6.5741 4.9614
2.7475 6.5741 8.3149
```

Largest 10 diffraction maxima, by angle, 10 to 80 degrees two-theta:
2θ/deg	I/Imax
19.66	44
27.41	95
32.46	100
36.37	36
37.45	67
37.78	72
42.72	50
57.33	24
66.15	22
68.76	17


2.
# TlPbO3
Calculated powder diffraction line list, Cu Kα X-rays. Input: a crystal structure in Alexandria, relaxed with GGA-PBE.
Lines closer than 0.1° are merged.

Atomic structure:
```
TlPbO3
1.0
2.9765 1.7185 5.1757
-2.9765 1.7185 5.1757
0.0000 -3.4369 5.1757
Tl Pb O
2 2 6
Cartesian
0.0000 0.0000 2.1826
0.0000 0.0000 13.3443
0.0000 0.0000 5.5831
0.0000 0.0000 9.9439
-1.2452 -1.7400 6.4723
-2.1294 0.2084 9.0546
-0.8843 1.9483 6.4723
0.8843 -1.9483 9.0546
2.1295 -0.2084 6.4723
1.2452 1.7400 9.0546
```

Largest 10 diffraction maxima, by angle, 10 to 80 degrees two-theta:
2θ/deg	I/Imax
20.68	13
28.79	100
30.02	97
42.08	41
46.50	25
50.23	14
52.55	42
53.31	27
62.43	23
70.14	16


3.
# Dy2Zn16Ni
Calculated powder diffraction line list, Cu Kα X-rays. Input: a crystal structure in Alexandria, relaxed with GGA-PBE.
Lines closer than 0.1° are merged.

Atomic structure:
```
Dy2Zn16Ni
1.0
4.4629 2.5766 4.3695
-4.4629 2.5766 4.3695
0.0000 -5.1533 4.3695
Dy Zn Ni
2 16 1
Cartesian
0.0000 0.0000 0.0000
0.0000 0.0000 4.3646
0.0000 -2.4944 2.3544
-2.1602 1.2472 2.3544
-2.1587 -1.2463 6.5039
0.0000 -2.6080 6.3104
-2.2586 1.3040 6.3104
-1.2973 -2.2493 8.6820
-2.5966 0.0011 8.6820
2.1602 1.2472 2.3544
2.1587 -1.2463 6.5040
0.0000 2.4926 6.5040
1.2973 -2.2493 8.6820
-1.2993 2.2481 8.6820
0.0000 0.0000 9.9650
2.2586 1.3040 6.3104
2.5966 0.0011 8.6820
1.2993 2.2481 8.6820
0.0000 0.0000 7.3880
```

Largest 10 diffraction maxima, by angle, 10 to 80 degrees two-theta:
2θ/deg	I/Imax
28.59	32
34.82	38
35.93	25
40.42	62
40.65	100
41.35	46
41.63	24
45.65	26
59.20	22
73.52	22


4.
# Ac3RuBr2
Calculated powder diffraction line list, Cu Kα X-rays. Input: a crystal structure in Alexandria, relaxed with GGA-PBE.
Lines closer than 0.1° are merged.

Atomic structure:
```
Ac3RuBr2
1.0
3.8651 -6.6902 0.0000
3.8651 6.6902 0.0000
-2.5695 0.0000 8.2743
Ac Ru Br
6 2 4
Cartesian
-0.1419 2.4765 6.6132
1.0054 0.0000 1.6532
-0.1419 -2.4765 6.6132
5.3026 2.4765 1.6611
4.1553 0.0000 6.6211
5.3026 -2.4765 1.6611
3.8651 4.4601 0.0000
3.8651 -4.4601 0.0000
-1.2848 0.0000 4.1372
2.5803 2.2106 4.1372
3.8651 0.0000 0.0000
2.5803 -2.2106 4.1372
```

Largest 10 diffraction maxima, by angle, 10 to 80 degrees two-theta:
2θ/deg	I/Imax
10.69	19
24.12	22
27.19	100
29.29	10
34.32	15
37.16	33
40.43	34
46.61	12
49.41	16
65.68	10


5.
# In2GeAu5
Calculated powder diffraction line list, Cu Kα X-rays. Input: a crystal structure in Alexandria, relaxed with GGA-PBE.
Lines closer than 0.1° are merged.

Atomic structure:
```
In2GeAu5
1.0
5.5895 0.0000 0.0000
-1.1982 5.4709 0.0000
-1.4032 -1.5077 5.3229
In Ge Au
2 1 5
Cartesian
0.0000 0.0000 0.0000
0.1169 4.4838 3.2623
1.8216 3.0160 0.1538
-0.7355 2.7210 0.8550
1.1666 1.8043 2.9395
2.7427 0.5744 0.7795
2.9252 4.1605 2.4680
3.9343 1.4665 3.3798
```

Largest 10 diffraction maxima, by angle, 10 to 80 degrees two-theta:
2θ/deg	I/Imax
33.44	30
33.64	100
34.06	41
34.47	45
39.16	36
40.20	32
40.48	43
41.14	31
41.45	50
65.49	18


6.
# TbHfN
Calculated powder diffraction line list, Cu Kα X-rays. Input: a crystal structure in Alexandria, relaxed with GGA-PBE.
Lines closer than 0.1° are merged.

Atomic structure:
```
TbHfN
1.0
3.3459 0.0000 0.0000
-1.6730 2.8977 0.0000
0.0000 0.0000 5.6457
Tb Hf N
1 1 1
Cartesian
0.0000 0.0000 0.0000
0.0000 1.9318 2.6148
1.6730 0.9659 1.4968
```

Largest 10 diffraction maxima, by angle, 10 to 80 degrees two-theta:
2θ/deg	I/Imax
15.70	5
30.86	20
31.70	25
34.80	100
44.82	21
54.88	20
58.48	22
64.78	20
66.64	15
74.83	5


Please write out number 2 again, unchanged.
# TlPbO3
Calculated powder diffraction line list, Cu Kα X-rays. Input: a crystal structure in Alexandria, relaxed with GGA-PBE.
Lines closer than 0.1° are merged.

Atomic structure:
```
TlPbO3
1.0
2.9765 1.7185 5.1757
-2.9765 1.7185 5.1757
0.0000 -3.4369 5.1757
Tl Pb O
2 2 6
Cartesian
0.0000 0.0000 2.1826
0.0000 0.0000 13.3443
0.0000 0.0000 5.5831
0.0000 0.0000 9.9439
-1.2452 -1.7400 6.4723
-2.1294 0.2084 9.0546
-0.8843 1.9483 6.4723
0.8843 -1.9483 9.0546
2.1295 -0.2084 6.4723
1.2452 1.7400 9.0546
```

Largest 10 diffraction maxima, by angle, 10 to 80 degrees two-theta:
2θ/deg	I/Imax
20.68	13
28.79	100
30.02	97
42.08	41
46.50	25
50.23	14
52.55	42
53.31	27
62.43	23
70.14	16


What did the fourth record say?
# Ac3RuBr2
Calculated powder diffraction line list, Cu Kα X-rays. Input: a crystal structure in Alexandria, relaxed with GGA-PBE.
Lines closer than 0.1° are merged.

Atomic structure:
```
Ac3RuBr2
1.0
3.8651 -6.6902 0.0000
3.8651 6.6902 0.0000
-2.5695 0.0000 8.2743
Ac Ru Br
6 2 4
Cartesian
-0.1419 2.4765 6.6132
1.0054 0.0000 1.6532
-0.1419 -2.4765 6.6132
5.3026 2.4765 1.6611
4.1553 0.0000 6.6211
5.3026 -2.4765 1.6611
3.8651 4.4601 0.0000
3.8651 -4.4601 0.0000
-1.2848 0.0000 4.1372
2.5803 2.2106 4.1372
3.8651 0.0000 0.0000
2.5803 -2.2106 4.1372
```

Largest 10 diffraction maxima, by angle, 10 to 80 degrees two-theta:
2θ/deg	I/Imax
10.69	19
24.12	22
27.19	100
29.29	10
34.32	15
37.16	33
40.43	34
46.61	12
49.41	16
65.68	10